This entry pairs a crystal structure of Cs3BeTe3 with its computed powder X-ray diffraction pattern. Radiation: Cu Kα (λ = 1.5418 Å). Structure: DFT lattice parameters and positions (PBE).
Intensities are scaled so that the largest is 1000.

Crystal structure
Cell lengths 8.718, 14.427, 12.591 Å; angles 90.00, 125.18, 90.00 degrees
Space group P2_1/c (No. 14)
Asymmetric unit:
Cs (0.145, 0.061, 0.381) x4
Cs (0.145, 0.123, 0.976) x4
Cs (0.350, 0.705, 0.116) x4
Be (0.447, 0.044, 0.866) x4
Te (0.196, 0.152, 0.692) x4
Te (0.344, 0.603, 0.407) x4
Te (0.420, 0.548, 0.763) x4

Main lines, in order of rising 2θ (2θ from 5° to 70°):
| 2theta | Rel. int. |
| --- | --- |
| 23.41 | 454 |
| 24.67 | 747 |
| 25.76 | 821 |
| 26.50 | 1000 |
| 26.76 | 829 |
| 29.36 | 443 |